Entry 1:
The following is a simulated powder diffractogram of SmDyYN3. It was derived from a cell relaxed with GGA-PBE, using λ = 1.5418 Å (Cu Kα).

Cell and atoms:
Unit cell a=6.0312 b=3.4796 c=9.0876 alpha=90.00 beta=101.37 gamma=90.00
Space group P2_1/m (No. 11)
One atom of each set of equivalent atoms:
Sm  0.1591  0.2500  0.1993 x2
Dy  0.3465  0.2500  0.8614 x2
Y  0.2687  0.7500  0.5449 x2
N  0.0380  0.2500  0.6687 x2
N  0.2519  0.7500  0.9970 x2
N  0.4634  0.7500  0.3444 x2

Main lines, in order of falling intensity (2θ = 10–80°):
d [Å]	I_rel	hkl
2.760	100	1 1 1
2.612	94	1 1 -2
2.970	41	0 0 3
2.988	31	2 0 -1
1.740	31	0 2 0
2.999	25	1 1 0
2.654	22	2 0 1
1.701	20	3 1 -2

Entry 2:
The following is a simulated powder diffractogram of SrDyVN3. It was derived from a cell relaxed with GGA-PBE, using λ = 1.5418 Å (Cu Kα).

Cell and atoms:
Unit cell a=13.1619 b=3.8154 c=7.2362 alpha=90.00 beta=105.39 gamma=90.00
Space group C2/m (No. 12)
One atom of each set of equivalent atoms:
Sr  0.1467  0.0000  0.0750 x4
Dy  0.1558  0.0000  0.5769 x4
V  0.0002  0.5000  0.2985 x4
N  0.0039  0.0000  0.3107 x4
N  0.1472  0.5000  0.8078 x4
N  0.1571  0.5000  0.3432 x4

Main lines, in order of falling intensity (2θ = 10–80°):
d [Å]	I_rel	hkl
2.625	100	1 1 -2
2.833	81	3 1 0
2.763	43	2 0 2
6.977	43	0 0 1
2.736	42	4 0 -2
2.115	25	6 0 0
1.908	24	0 2 0
2.031	21	3 1 2